BaCaEuWO6: simulated powder diffractogram (Cu Kα (weighted mean of Kα1 and Kα2)), based on a DFT-relaxed cell (PBE+U, Alexandria).
Intensities are scaled so that the largest is 100.

Atomic structure:
Cell lengths 5.9325, 5.9678, 8.4072 Å; angles 90.64, 90.59, 90.06 degrees
Fractional positions:
Ba 0.0035 0.0234 0.2500
Ba 0.9965 0.9766 0.7500
Ca 0.0000 0.5000 0.5000
Ca 0.5000 0.0000 0.0000
Eu 0.4903 0.5356 0.2525
Eu 0.5097 0.4644 0.7475
W 0.0000 0.5000 0.0000
W 0.5000 0.0000 0.5000
O 0.0874 0.4930 0.7735
O 0.2036 0.7547 0.0353
O 0.2358 0.8045 0.4774
O 0.2555 0.3012 0.0507
O 0.3154 0.2689 0.4532
O 0.4438 0.0441 0.7283
O 0.5562 0.9559 0.2717
O 0.6846 0.7311 0.5468
O 0.7445 0.6988 0.9493
O 0.7642 0.1955 0.5226
O 0.7964 0.2453 0.9647
O 0.9126 0.5070 0.2265

Most intense lines, 2θ = 15–90°, most intense first:
| 2theta | I_rel | h k l |
| --- | --- | --- |
| 30.1 | 100 | -1 1 2 |
| 30.0 | 100 | 1 -1 2 |
| 43.0 | 79 | 0 0 4 |
| 29.8 | 50 | 1 1 -2 |
| 30.3 | 48 | 1 1 2 |
| 18.2 | 42 | 1 0 -1 |
| 53.6 | 31 | 3 -1 2 |
| 18.4 | 27 | 1 0 1 |
| 53.1 | 22 | 2 0 -4 |
| 53.7 | 21 | 3 1 2 |